Entry 1:
This entry pairs a crystal structure of Na3H6Ir with its theoretical XRD peak list. Radiation: Cu Kα X-rays. Structure: the GGA-PBE geometry in the Materials Project.

Most intense lines, 2θ = 5–70°, in order of rising 2θ:
Position (°2θ), intensity
19.0, 57.2
19.2, 42.6
20.7, 80.8
21.5, 100.0
32.6, 55.0
34.8, 47.0

Structural model:
abc: 9.3352 5.2610 9.6538
angles: 90.00 90.00 90.00
Space group Pnma (No. 62)
Asymmetric unit:
Na 0.0470 0.2500 0.1282 (multiplicity 4)
Na 0.1055 0.7500 0.5361 (multiplicity 4)
Na 0.2172 0.2500 0.7512 (multiplicity 4)
H 0.1101 0.0302 0.3375 (multiplicity 8)
H 0.1228 0.2500 0.5472 (multiplicity 4)
H 0.1688 0.5225 0.9691 (multiplicity 8)
H 0.1808 0.7500 0.7559 (multiplicity 4)
Ir 0.2226 0.2500 0.4031 (multiplicity 4)

=====

Entry 2:
This entry pairs a crystal structure of Na2H6Ir with its theoretical XRD peak list. Radiation: Cu Kα X-rays. Structure: the GGA-PBE geometry in the Materials Project.

Most intense lines, 2θ = 5–70°, in order of rising 2θ:
Position (°2θ), intensity
20.8, 100.0
24.1, 29.6
34.3, 65.9
40.5, 54.1
54.1, 23.3
61.5, 24.4

Structural model:
abc: 7.3859 7.3859 7.3859
angles: 90.00 90.00 90.00
Space group Fm-3m (No. 225)
Asymmetric unit:
Na 0.2500 0.2500 0.2500 (multiplicity 8)
H 0.0000 0.0000 0.2284 (multiplicity 24)
Ir 0.0000 0.0000 0.0000 (multiplicity 4)

=====

Entry 3:
This entry pairs a crystal structure of KLaH2S2O9 with its theoretical XRD peak list. Radiation: Cu Kα X-rays. Structure: the GGA-PBE geometry in the Materials Project.

Most intense lines, 2θ = 5–70°, in order of rising 2θ:
Position (°2θ), intensity
14.0, 69.1
15.5, 93.4
24.3, 67.9
28.1, 93.8
30.3, 100.0
46.6, 64.7

Structural model:
abc: 7.3286 7.3286 13.3330
angles: 90.00 90.00 120.00
Space group P3_221 (No. 154)
Asymmetric unit:
K 0.0000 0.4479 0.3333 (multiplicity 3)
La 0.0000 0.4410 0.8333 (multiplicity 3)
H 0.0241 0.9403 0.4554 (multiplicity 6)
S 0.0050 0.4432 0.5931 (multiplicity 6)
O 0.0000 0.0947 0.8333 (multiplicity 3)
O 0.1141 0.6220 0.6658 (multiplicity 6)
O 0.1187 0.3704 0.0091 (multiplicity 6)
O 0.1338 0.6126 0.1415 (multiplicity 6)
O 0.1601 0.4171 0.5316 (multiplicity 6)

=====

Entry 4:
This entry pairs a crystal structure of K2LiH6N3 with its theoretical XRD peak list. Radiation: Cu Kα X-rays. Structure: the GGA-PBE geometry in the Materials Project.

Most intense lines, 2θ = 5–70°, in order of rising 2θ:
Position (°2θ), intensity
14.6, 58.2
19.5, 65.6
32.2, 91.0
35.0, 100.0
36.3, 82.0
36.4, 64.7

Structural model:
abc: 7.0041 7.0041 12.0058
angles: 90.00 90.00 90.00
Space group P4_2/m (No. 84)
Asymmetric unit:
K 0.0000 0.0000 0.0000 (multiplicity 2)
K 0.0000 0.5000 0.1526 (multiplicity 4)
K 0.5000 0.5000 0.2500 (multiplicity 2)
Li 0.3522 0.3567 0.5000 (multiplicity 4)
H 0.0820 0.3467 0.3735 (multiplicity 8)
H 0.1610 0.1818 0.2928 (multiplicity 8)
H 0.2750 0.6792 0.4330 (multiplicity 8)
N 0.2066 0.2794 0.3510 (multiplicity 8)
N 0.2933 0.3620 0.0000 (multiplicity 4)

=====

Entry 5:
This entry pairs a crystal structure of KLi2H3O3 with its theoretical XRD peak list. Radiation: Cu Kα X-rays. Structure: the GGA-PBE geometry in the Materials Project.

Most intense lines, 2θ = 5–70°, in order of rising 2θ:
Position (°2θ), intensity
12.1, 65.0
18.8, 54.9
20.1, 54.5
32.0, 59.3
32.4, 64.3
34.7, 100.0

Structural model:
abc: 5.6777 5.5285 7.3670
angles: 90.00 96.37 90.00
Space group P2_1/m (No. 11)
Asymmetric unit:
K 0.2329 0.2500 0.4870 (multiplicity 2)
Li 0.3910 0.5494 0.8476 (multiplicity 4)
H 0.0900 0.7500 0.1990 (multiplicity 2)
H 0.2136 0.7500 0.1719 (multiplicity 2)
H 0.2302 0.2500 0.0156 (multiplicity 2)
O 0.1453 0.7500 0.7440 (multiplicity 2)
O 0.3539 0.7500 0.6278 (multiplicity 2)
O 0.3886 0.2500 0.9766 (multiplicity 2)

=====

Entry 6:
This entry pairs a crystal structure of KLi2H3O3 with its theoretical XRD peak list. Radiation: Cu Kα X-rays. Structure: the GGA-PBE geometry in the Materials Project.

Most intense lines, 2θ = 5–70°, in order of rising 2θ:
Position (°2θ), intensity
22.5, 21.8
29.0, 18.5
33.9, 24.7
34.5, 44.0
34.7, 44.6
36.3, 100.0

Structural model:
abc: 5.7819 5.1646 6.3224
angles: 90.00 103.14 90.00
Space group P2_1/m (No. 11)
Asymmetric unit:
K 0.1563 0.2500 0.2556 (multiplicity 2)
Li 0.3465 0.0048 0.8227 (multiplicity 4)
H 0.0190 0.7500 0.3376 (multiplicity 2)
H 0.2299 0.7500 0.1136 (multiplicity 2)
H 0.3793 0.7500 0.4656 (multiplicity 2)
O 0.0833 0.2500 0.8088 (multiplicity 2)
O 0.3189 0.7500 0.5964 (multiplicity 2)
O 0.3848 0.7500 0.0739 (multiplicity 2)

=====

Entry 7:
This entry pairs a crystal structure of KLi2H3O3 with its theoretical XRD peak list. Radiation: Cu Kα X-rays. Structure: the GGA-PBE geometry in the Materials Project.

Most intense lines, 2θ = 5–70°, in order of rising 2θ:
Position (°2θ), intensity
12.3, 100.0
16.7, 73.3
19.9, 73.4
29.4, 94.3
31.4, 87.5
36.0, 80.7

Structural model:
abc: 6.1452 5.7029 7.4395
angles: 90.00 104.88 90.00
Space group P2_1/m (No. 11)
Asymmetric unit:
K 0.2346 0.2500 0.0187 (multiplicity 2)
Li 0.1621 0.5440 0.6453 (multiplicity 4)
H 0.1124 0.2500 0.4181 (multiplicity 2)
H 0.2428 0.7500 0.3393 (multiplicity 2)
H 0.3453 0.7500 0.3021 (multiplicity 2)
O 0.0782 0.2500 0.5401 (multiplicity 2)
O 0.1147 0.7500 0.8458 (multiplicity 2)
O 0.3490 0.7500 0.8098 (multiplicity 2)

=====

Entry 8:
This entry pairs a crystal structure of K2LiH2Se2O6 with its theoretical XRD peak list. Radiation: Cu Kα X-rays. Structure: the GGA-PBE geometry in the Materials Project.

Most intense lines, 2θ = 5–70°, in order of rising 2θ:
Position (°2θ), intensity
16.2, 80.0
23.9, 100.0
24.4, 82.9
27.8, 87.0
32.7, 73.8
34.7, 66.5

Structural model:
abc: 5.0055 5.5848 7.5695
angles: 79.06 79.00 86.12
Space group P-1 (No. 2)
Asymmetric unit:
K 0.1275 0.4906 0.2277 (multiplicity 2)
Li 0.0000 0.0000 0.5000 (multiplicity 1)
H 0.4303 0.2331 0.4980 (multiplicity 2)
Se 0.3946 0.0283 0.8274 (multiplicity 2)
O 0.2482 0.2187 0.5732 (multiplicity 2)
O 0.2761 0.9317 0.2799 (multiplicity 2)
O 0.3251 0.7312 0.8351 (multiplicity 2)